Calculated powder X-ray diffraction pattern of NdPuSc2Se4 for Cu Ka, from a cell relaxed with GGA-PBE.
Peak positions follow from Bragg's law for the DFT cell and can differ from measured ones.

Atomic structure:
```
NdPuSc2Se4
1.0
6.961 0.000 0.000
0.000 3.991 0.000
-2.278 0.000 6.659
Nd Pu Sc Se
1 1 2 4
direct
0.000 0.000 0.000
0.500 0.500 0.000
0.000 0.500 0.500
0.500 0.000 0.500
0.246 0.000 0.727
0.262 0.500 0.275
0.738 0.500 0.725
0.754 0.000 0.273
```

The 10 most intense peaks (2θ from 10° to 80°), sorted by position:
d [Å]  two_theta  intensity
6.659  13.30  22
3.418  26.07  25
2.849  31.40  100
2.612  34.33  12
2.035  44.52  12
2.022  44.82  24
2.006  45.20  24
1.995  45.45  12
1.634  56.30  13
1.424  65.53  11

=====

Calculated powder X-ray diffraction pattern of BaH6C2SNO5 for Cu Ka, from a cell relaxed with GGA-PBE.
Peak positions follow from Bragg's law for the DFT cell and can differ from measured ones.

Atomic structure:
```
BaH6C2SNO5
1.0
6.969 0.000 0.000
2.707 6.429 0.000
0.876 3.073 9.564
Ba H C S N O
2 12 4 2 2 10
direct
0.192 0.194 0.498
0.808 0.806 0.502
0.035 0.681 0.198
0.065 0.037 0.242
0.138 0.757 0.752
0.149 0.405 0.781
0.460 0.090 0.192
0.472 0.736 0.780
0.528 0.264 0.220
0.540 0.910 0.808
0.851 0.595 0.219
0.862 0.243 0.248
0.935 0.963 0.758
0.965 0.319 0.802
0.399 0.606 0.489
0.478 0.663 0.130
0.522 0.337 0.870
0.601 0.394 0.511
0.265 0.876 0.073
0.735 0.124 0.927
0.365 0.494 0.830
0.635 0.506 0.170
0.028 0.891 0.694
0.044 0.388 0.731
0.228 0.588 0.479
0.422 0.780 0.481
0.482 0.143 0.266
0.518 0.857 0.734
0.578 0.220 0.519
0.772 0.412 0.521
0.956 0.612 0.269
0.972 0.109 0.306
```

The 10 most intense peaks (2θ from 10° to 80°), sorted by position:
d [Å]  two_theta  intensity
5.476  16.19  55
4.782  18.56  100
4.401  20.18  67
3.460  25.75  56
3.431  25.97  50
3.322  26.84  41
3.276  27.22  66
3.188  27.99  62
2.390  37.63  50
2.220  40.65  42

=====

Calculated powder X-ray diffraction pattern of LaZn3Ag9 for Cu Ka, from a cell relaxed with GGA-PBE.
Peak positions follow from Bragg's law for the DFT cell and can differ from measured ones.

Atomic structure:
```
LaZn3Ag9
1.0
2.672 -6.756 0.000
2.672 6.756 0.000
-2.295 0.000 6.730
La Zn Ag
1 3 9
direct
0.000 0.000 0.000
0.000 0.500 0.000
0.500 0.000 0.000
0.500 0.500 0.500
0.000 0.000 0.500
0.027 0.669 0.656
0.299 0.519 0.784
0.331 0.973 0.344
0.481 0.701 0.216
0.519 0.299 0.784
0.669 0.027 0.656
0.701 0.481 0.216
0.973 0.331 0.344
```

The 10 most intense peaks (2θ from 10° to 80°), sorted by position:
d [Å]  two_theta  intensity
2.780  32.20  24
2.684  33.38  25
2.668  33.59  24
2.420  37.16  31
2.384  37.74  100
2.369  37.99  26
2.290  39.34  31
2.149  42.05  28
2.094  43.21  24
1.390  67.36  26

=====

Calculated powder X-ray diffraction pattern of MgZn5 for Cu Ka, from a cell relaxed with GGA-PBE.
Peak positions follow from Bragg's law for the DFT cell and can differ from measured ones.

Atomic structure:
```
MgZn5
1.0
10.885 0.000 0.000
0.000 2.803 0.000
-1.595 0.000 6.307
Mg Zn
2 10
direct
0.000 0.000 0.000
0.500 0.500 0.000
0.120 0.500 0.725
0.173 0.500 0.343
0.280 0.000 0.070
0.331 0.000 0.666
0.450 0.500 0.405
0.620 0.000 0.725
0.673 0.000 0.343
0.780 0.500 0.070
0.831 0.500 0.666
0.950 0.000 0.405
```

The 10 most intense peaks (2θ from 10° to 80°), sorted by position:
d [Å]  two_theta  intensity
6.307  14.04  18
2.455  36.60  29
2.434  36.93  41
2.323  38.76  75
2.246  40.15  47
2.192  41.18  100
2.122  42.60  90
2.102  43.02  39
1.413  66.11  28
1.331  70.80  18

=====

Calculated powder X-ray diffraction pattern of LiSnH for Cu Ka, from a cell relaxed with GGA-PBE.
Peak positions follow from Bragg's law for the DFT cell and can differ from measured ones.

Atomic structure:
```
LiSnH
1.0
3.033 0.000 0.000
0.000 3.033 0.000
0.000 0.000 5.056
Li Sn H
1 1 1
direct
0.000 0.000 0.000
0.500 0.500 0.502
0.500 0.500 0.995
```

The 10 most intense peaks (2θ from 10° to 80°), sorted by position:
d [Å]  two_theta  intensity
5.056  17.54  100
3.033  29.45  62
2.601  34.48  93
2.528  35.51  23
2.145  42.13  28
1.975  45.96  36
1.942  46.78  36
1.635  56.25  25
1.473  63.11  17
1.310  72.09  24

=====

Calculated powder X-ray diffraction pattern of La5Ru2Cl2 for Cu Ka, from a cell relaxed with GGA-PBE.
Peak positions follow from Bragg's law for the DFT cell and can differ from measured ones.

Atomic structure:
```
La5Ru2Cl2
1.0
7.681 -3.840 0.000
7.681 3.840 0.000
0.000 0.000 8.465
La Ru Cl
10 4 4
direct
0.000 0.000 0.000
0.027 0.734 0.662
0.234 0.527 0.162
0.266 0.973 0.662
0.473 0.766 0.162
0.500 0.500 0.500
0.527 0.234 0.838
0.734 0.027 0.338
0.766 0.473 0.838
0.973 0.266 0.338
0.156 0.844 0.373
0.344 0.656 0.873
0.656 0.344 0.127
0.844 0.156 0.627
0.199 0.199 0.000
0.301 0.301 0.500
0.699 0.699 0.500
0.801 0.801 0.000
```

The 10 most intense peaks (2θ from 10° to 80°), sorted by position:
d [Å]  two_theta  intensity
7.681  11.52  100
3.497  25.47  30
3.003  29.75  73
2.844  31.45  42
2.703  33.14  23
2.610  34.36  67
2.586  34.69  94
2.420  37.16  57
2.366  38.04  52
1.920  47.34  24

=====

Calculated powder X-ray diffraction pattern of Rb2TaHSe4 for Cu Ka, from a cell relaxed with GGA-PBE.
Peak positions follow from Bragg's law for the DFT cell and can differ from measured ones.

Atomic structure:
```
Rb2TaHSe4
1.0
7.462 0.000 0.000
3.464 8.475 0.000
3.600 0.984 8.411
Rb Ta H Se
4 2 2 8
direct
0.000 0.000 0.000
0.079 0.490 0.492
0.455 0.851 0.352
0.622 0.139 0.643
0.286 0.515 0.956
0.765 0.537 0.976
0.175 0.184 0.188
0.892 0.310 0.305
0.156 0.347 0.862
0.297 0.720 0.737
0.334 0.235 0.202
0.383 0.646 0.133
0.688 0.359 0.851
0.735 0.288 0.257
0.782 0.755 0.771
0.918 0.627 0.143
```

The 10 most intense peaks (2θ from 10° to 80°), sorted by position:
d [Å]  two_theta  intensity
8.414  10.51  100
6.329  13.99  18
5.632  15.74  11
3.727  23.87  22
3.168  28.17  11
2.816  31.78  27
2.759  32.45  22
2.747  32.60  12
2.678  33.46  9
2.451  36.66  10

=====

Calculated powder X-ray diffraction pattern of Sr3Sn3Ge2 for Cu Ka, from a cell relaxed with GGA-PBE.
Peak positions follow from Bragg's law for the DFT cell and can differ from measured ones.

Atomic structure:
```
Sr3Sn3Ge2
1.0
2.460 -6.071 0.000
2.460 6.071 0.000
0.000 0.000 16.810
Sr Sn Ge
6 6 4
direct
0.095 0.905 0.750
0.141 0.859 0.054
0.141 0.859 0.446
0.859 0.141 0.554
0.859 0.141 0.946
0.905 0.095 0.250
0.195 0.805 0.250
0.426 0.574 0.077
0.426 0.574 0.423
0.574 0.426 0.577
0.574 0.426 0.923
0.805 0.195 0.750
0.394 0.606 0.675
0.394 0.606 0.825
0.606 0.394 0.175
0.606 0.394 0.325
```

The 10 most intense peaks (2θ from 10° to 80°), sorted by position:
d [Å]  two_theta  intensity
3.537  25.18  27
3.126  28.56  22
3.090  28.89  40
3.036  29.42  25
2.730  32.81  100
2.706  33.10  50
2.460  36.52  51
2.253  40.02  27
1.910  47.61  24
1.605  57.42  23

=====

Calculated powder X-ray diffraction pattern of CaTlBO3 for Cu Ka, from a cell relaxed with GGA-PBE.
Peak positions follow from Bragg's law for the DFT cell and can differ from measured ones.

Atomic structure:
```
CaTlBO3
1.0
5.590 0.000 0.000
-2.795 4.841 0.000
0.000 0.000 6.389
Ca Tl B O
2 2 2 6
direct
0.000 0.000 0.000
0.000 0.000 0.500
0.333 0.667 0.250
0.667 0.333 0.750
0.333 0.667 0.750
0.667 0.333 0.250
0.188 0.377 0.750
0.188 0.812 0.750
0.377 0.188 0.250
0.623 0.812 0.750
0.812 0.188 0.250
0.812 0.623 0.250
```

The 10 most intense peaks (2θ from 10° to 80°), sorted by position:
d [Å]  two_theta  intensity
3.859  23.05  100
3.194  27.93  24
2.795  32.02  60
2.666  33.61  40
2.264  39.82  50
2.104  43.00  23
1.929  47.10  20
1.759  51.98  30
1.598  57.67  22
1.387  67.52  28

=====

Calculated powder X-ray diffraction pattern of BaSnBi2 for Cu Ka, from a cell relaxed with GGA-PBE.
Peak positions follow from Bragg's law for the DFT cell and can differ from measured ones.

Atomic structure:
```
BaSnBi2
1.0
5.004 0.000 0.000
2.488 6.261 0.000
0.008 0.074 9.152
Ba Sn Bi
2 2 4
direct
0.065 0.368 0.250
0.935 0.632 0.750
0.219 0.065 0.750
0.781 0.935 0.250
0.375 0.749 0.449
0.378 0.745 0.051
0.622 0.255 0.949
0.625 0.251 0.551
```

The 10 most intense peaks (2θ from 10° to 80°), sorted by position:
d [Å]  two_theta  intensity
4.647  19.10  23
3.263  27.33  100
3.253  27.42  33
3.205  27.83  28
3.130  28.51  24
3.031  29.47  37
3.019  29.59  39
2.734  32.76  22
2.552  35.17  33
2.502  35.89  50

=====

Calculated powder X-ray diffraction pattern of Sm2Zn5Ru2Rh for Cu Ka, from a cell relaxed with GGA-PBE.
Peak positions follow from Bragg's law for the DFT cell and can differ from measured ones.

Atomic structure:
```
Sm2Zn5Ru2Rh
1.0
10.171 0.000 0.000
0.000 10.171 0.000
0.000 0.000 3.411
Sm Zn Ru Rh
4 10 4 2
direct
0.178 0.322 0.000
0.322 0.822 0.000
0.678 0.178 0.000
0.822 0.678 0.000
0.000 0.500 0.500
0.054 0.812 0.500
0.188 0.054 0.500
0.312 0.554 0.500
0.446 0.312 0.500
0.500 0.000 0.500
0.554 0.688 0.500
0.688 0.446 0.500
0.812 0.946 0.500
0.946 0.188 0.500
0.133 0.633 0.000
0.367 0.133 0.000
0.633 0.867 0.000
0.867 0.367 0.000
0.000 0.000 0.000
0.500 0.500 0.000
```

The 10 most intense peaks (2θ from 10° to 80°), sorted by position:
d [Å]  two_theta  intensity
3.216  27.74  14
2.833  31.58  11
2.475  36.30  21
2.467  36.42  37
2.397  37.52  28
2.340  38.47  100
2.174  41.54  26
1.706  53.75  17
1.501  61.79  11
1.403  66.67  12

=====

Calculated powder X-ray diffraction pattern of TiFeNiP for Cu Ka, from a cell relaxed with GGA-PBE.
Peak positions follow from Bragg's law for the DFT cell and can differ from measured ones.

Atomic structure:
```
TiFeNiP
1.0
3.516 0.000 0.000
0.000 3.357 0.000
0.000 0.000 8.814
Ti Fe Ni P
2 2 2 2
direct
0.000 0.000 0.000
0.000 0.500 0.500
0.500 0.000 0.307
0.500 0.500 0.807
0.000 0.000 0.727
0.000 0.500 0.227
0.500 0.000 0.578
0.500 0.500 0.078
```

The 10 most intense peaks (2θ from 10° to 80°), sorted by position:
d [Å]  two_theta  intensity
4.407  20.15  13
2.341  38.46  100
2.211  40.82  34
2.203  40.96  14
1.872  48.65  39
1.867  48.77  34
1.758  52.02  22
1.678  54.68  18
1.376  68.15  13
1.248  76.28  16